Calculated XRD peak list of PaIn2Cl7 for Cu Ka, from the PBE geometry in Alexandria.

Peak list (6 most intense, 2θ from 10° to 90°, sorted by position)
2θ (°)  I/Imax  index
12.46  46  1 1 0
14.72  43  2 0 -2
19.50  72  0 0 2
19.61  100  3 1 -2
23.20  53  0 2 1
35.64  46  3 3 -1

Atomic structure:
```
data_PaIn2Cl7
_chemical_formula_sum 'Pa4 In8 Cl28'
_space_group_name_H-M_alt 'C 1 2/c 1'
_space_group_IT_number 15
_cell_length_a 17.3327
_cell_length_b 8.4554
_cell_length_c 12.0493
_cell_angle_alpha 90.00
_cell_angle_beta 130.92
_cell_angle_gamma 90.00
loop_
_space_group_symop_operation_xyz
'x,y,z'
'-x,-y,-z'
'-x,y,-z+1/2'
'x,-y,z+1/2'
'x+1/2,y+1/2,z'
'-x+1/2,-y+1/2,-z'
'-x+1/2,y+1/2,-z+1/2'
'x+1/2,-y+1/2,z+1/2'
loop_
_atom_site_label
_atom_site_type_symbol
_atom_site_fract_x
_atom_site_fract_y
_atom_site_fract_z
Pa1 Pa 0.0000 0.1129 0.2500
In1 In 0.1959 0.4503 0.8057
Cl1 Cl 0.0000 0.4291 0.2500
Cl2 Cl 0.0899 0.1592 0.5233
Cl3 Cl 0.1212 0.1468 0.8856
Cl4 Cl 0.1635 0.1797 0.2874
```